Starting from a structure optimized by DFT (PBE), the X-ray diffraction stick pattern of Ce3PuRu3 was computed for Cu Kα, 1.54184 Å.
Intensities are scaled so that the largest is 100.

Main lines, low angle first (2θ from 10° to 90°):
two_theta  I_rel
28.40  51
29.87  88
30.49  46
32.50  57
34.53  88
35.48  100
37.29  92
37.49  79
41.42  50
56.62  47

Crystal structure
abc: 6.6918 6.6918 7.2015
angles: 90.44 90.44 101.84
Element x y z (fractional)
Ce (0.1662, 0.8338, 0.0000)
Ce (0.2576, 0.7424, 0.5000)
Ce (0.3778, 0.3778, 0.8621)
Ce (0.6222, 0.6222, 0.1379)
Ce (0.7424, 0.2576, 0.5000)
Ce (0.8338, 0.1662, 0.0000)
Pu (0.2368, 0.2368, 0.3645)
Pu (0.7632, 0.7632, 0.6355)
Ru (0.0794, 0.5262, 0.2078)
Ru (0.0937, 0.0937, 0.6884)
Ru (0.4738, 0.9206, 0.7922)
Ru (0.5262, 0.0794, 0.2078)
Ru (0.9063, 0.9063, 0.3116)
Ru (0.9206, 0.4738, 0.7922)